Calculated PXRD pattern
Compound: MoO2
Radiation: Cu Kα
Structure: the GGA+U geometry in the Materials Project
Neutral-atom scattering factors, no anomalous dispersion.

Cell and atoms:
```
data_MoO2
_chemical_formula_sum 'Mo4 O8'
_symmetry_space_group_name_H-M 'P -1'
_symmetry_Int_Tables_number 2
_symmetry_space_group_name_Hall '-P 1'
_cell_length_a 6.232
_cell_length_b 6.241
_cell_length_c 6.391
_cell_angle_alpha 118.27
_cell_angle_beta 117.96
_cell_angle_gamma 91.42
loop_
_atom_site_label
_atom_site_fract_x
_atom_site_fract_y
_atom_site_fract_z
Mo1 0.000 0.000 0.000
Mo2 0.000 0.000 0.500
Mo3 0.000 0.500 0.000
Mo4 0.500 0.000 0.500
O1 0.190 0.230 0.949
O2 0.221 0.760 0.449
O3 0.231 0.190 0.451
O4 0.236 0.779 0.048
```

Largest 6 diffraction maxima, in order of rising 2θ, 10 to 80 degrees two-theta:
| Position (°2θ) | I (rel.) |
| --- | --- |
| 17.0 | 100 |
| 17.1 | 33 |
| 34.4 | 17 |
| 38.2 | 21 |
| 40.4 | 18 |
| 41.5 | 17 |

***

Calculated PXRD pattern
Compound: Li3Mo2P3O12
Radiation: Cu Kα
Structure: the GGA+U geometry in the Materials Project
Neutral-atom scattering factors, no anomalous dispersion.

Cell and atoms:
```
data_Li3Mo2P3O12
_chemical_formula_sum 'Li12 Mo8 P12 O48'
_symmetry_space_group_name_H-M 'C 1 2/m 1'
_symmetry_Int_Tables_number 12
_symmetry_space_group_name_Hall '-C 2y'
_cell_length_a 8.394
_cell_length_b 5.480
_cell_length_c 19.363
_cell_angle_alpha 90.00
_cell_angle_beta 90.14
_cell_angle_gamma 90.00
loop_
_atom_site_label
_atom_site_fract_x
_atom_site_fract_y
_atom_site_fract_z
Li1 0.000 0.000 0.164
Li2 0.166 0.500 0.761
Li3 0.168 0.500 0.089
Mo1 0.000 0.000 0.000
Mo2 0.000 0.000 0.500
Mo3 0.003 0.000 0.329
P1 0.148 0.500 0.588
P2 0.148 0.500 0.920
P3 0.153 0.500 0.248
O1 0.032 0.273 0.920
O2 0.036 0.273 0.250
O3 0.037 0.265 0.585
O4 0.238 0.500 0.657
O5 0.244 0.000 0.687
O6 0.246 0.000 0.475
O7 0.246 0.500 0.988
O8 0.247 0.000 0.144
O9 0.249 0.000 0.818
```

Largest 6 diffraction maxima, in order of rising 2θ, 10 to 80 degrees two-theta:
| Position (°2θ) | I (rel.) |
| --- | --- |
| 19.3 | 44 |
| 23.8 | 66 |
| 25.3 | 37 |
| 32.7 | 36 |
| 34.0 | 100 |
| 36.0 | 48 |

***

Calculated PXRD pattern
Compound: Zr2Cr2F3
Radiation: Cu Kα
Structure: the GGA+U geometry in the Materials Project
Neutral-atom scattering factors, no anomalous dispersion.

Cell and atoms:
```
data_Zr2Cr2F3
_chemical_formula_sum 'Zr8 Cr8 F12'
_symmetry_space_group_name_H-M 'C 1 m 1'
_symmetry_Int_Tables_number 8
_symmetry_space_group_name_Hall 'C -2y'
_cell_length_a 9.290
_cell_length_b 10.174
_cell_length_c 5.204
_cell_angle_alpha 90.00
_cell_angle_beta 103.00
_cell_angle_gamma 90.00
loop_
_atom_site_label
_atom_site_fract_x
_atom_site_fract_y
_atom_site_fract_z
Zr1 0.000 0.000 0.000
Zr2 0.146 0.500 0.011
Zr3 0.306 0.245 0.248
Cr1 0.047 0.253 0.768
Cr2 0.367 0.500 0.402
Cr3 0.427 0.000 0.528
F1 0.178 0.222 0.526
F2 0.230 0.000 0.215
F3 0.282 0.500 0.725
F4 0.444 0.148 0.022
```

Largest 6 diffraction maxima, in order of rising 2θ, 10 to 80 degrees two-theta:
| Position (°2θ) | I (rel.) |
| --- | --- |
| 23.2 | 91 |
| 29.2 | 60 |
| 34.3 | 100 |
| 35.3 | 84 |
| 39.7 | 70 |
| 42.7 | 49 |

***

Calculated PXRD pattern
Compound: ZnFe2O4
Radiation: Cu Kα
Structure: the GGA+U geometry in the Materials Project
Neutral-atom scattering factors, no anomalous dispersion.

Cell and atoms:
```
data_ZnFe2O4
_chemical_formula_sum 'Zn4 Fe8 O16'
_symmetry_space_group_name_H-M 'P 1 m 1'
_symmetry_Int_Tables_number 6
_symmetry_space_group_name_Hall 'P -2y'
_cell_length_a 9.052
_cell_length_b 2.921
_cell_length_c 10.414
_cell_angle_alpha 90.00
_cell_angle_beta 91.67
_cell_angle_gamma 90.00
loop_
_atom_site_label
_atom_site_fract_x
_atom_site_fract_y
_atom_site_fract_z
Zn1 0.000 0.000 0.000
Zn2 0.000 0.500 0.490
Zn3 0.489 0.000 0.192
Zn4 0.495 0.500 0.692
Fe1 0.161 0.500 0.243
Fe2 0.187 0.500 0.724
Fe3 0.303 0.000 0.966
Fe4 0.333 0.000 0.443
Fe5 0.652 0.500 0.948
Fe6 0.678 0.500 0.461
Fe7 0.811 0.000 0.226
Fe8 0.836 0.000 0.743
O1 0.043 0.000 0.662
O2 0.130 0.000 0.375
O3 0.165 0.500 0.916
O4 0.206 0.000 0.130
O5 0.291 0.500 0.558
O6 0.337 0.000 0.779
O7 0.363 0.500 0.312
O8 0.443 0.500 0.022
O9 0.536 0.000 0.513
O10 0.622 0.000 0.811
O11 0.651 0.500 0.272
O12 0.707 0.000 0.062
O13 0.771 0.500 0.632
O14 0.840 0.000 0.418
O15 0.875 0.500 0.883
O16 0.955 0.500 0.172
```

Largest 6 diffraction maxima, in order of rising 2θ, 10 to 80 degrees two-theta:
| Position (°2θ) | I (rel.) |
| --- | --- |
| 33.9 | 100 |
| 34.5 | 82 |
| 34.8 | 79 |
| 36.5 | 42 |
| 36.6 | 38 |
| 36.8 | 47 |

***

Calculated PXRD pattern
Compound: Fe2CuO4
Radiation: Cu Kα
Structure: the GGA+U geometry in the Materials Project
Neutral-atom scattering factors, no anomalous dispersion.

Cell and atoms:
```
data_Fe2CuO4
_chemical_formula_sum 'Fe8 Cu4 O16'
_symmetry_space_group_name_H-M 'C 1 2/c 1'
_symmetry_Int_Tables_number 15
_symmetry_space_group_name_Hall '-C 2yc'
_cell_length_a 8.434
_cell_length_b 8.599
_cell_length_c 5.974
_cell_angle_alpha 90.00
_cell_angle_beta 134.54
_cell_angle_gamma 90.00
loop_
_atom_site_label
_atom_site_fract_x
_atom_site_fract_y
_atom_site_fract_z
Fe1 0.000 0.119 0.250
Fe2 0.250 0.250 0.000
Cu1 0.000 0.500 0.000
O1 0.001 0.250 0.518
O2 0.239 0.490 0.993
```

Largest 6 diffraction maxima, in order of rising 2θ, 10 to 80 degrees two-theta:
| Position (°2θ) | I (rel.) |
| --- | --- |
| 34.7 | 100 |
| 34.9 | 42 |
| 35.0 | 55 |
| 35.3 | 51 |
| 61.3 | 44 |
| 61.6 | 43 |

***

Calculated PXRD pattern
Compound: LiVF4
Radiation: Cu Kα
Structure: the GGA+U geometry in the Materials Project
Neutral-atom scattering factors, no anomalous dispersion.

Cell and atoms:
```
data_LiVF4
_chemical_formula_sum 'Li4 V4 F16'
_symmetry_space_group_name_H-M 'C 1 2/c 1'
_symmetry_Int_Tables_number 15
_symmetry_space_group_name_Hall '-C 2yc'
_cell_length_a 11.823
_cell_length_b 5.208
_cell_length_c 5.232
_cell_angle_alpha 90.00
_cell_angle_beta 102.07
_cell_angle_gamma 90.00
loop_
_atom_site_label
_atom_site_fract_x
_atom_site_fract_y
_atom_site_fract_z
Li1 0.000 0.096 0.250
V1 0.250 0.250 0.000
F1 0.094 0.132 0.992
F2 0.201 0.424 0.663
```

Largest 6 diffraction maxima, in order of rising 2θ, 10 to 80 degrees two-theta:
| Position (°2θ) | I (rel.) |
| --- | --- |
| 15.3 | 100 |
| 24.5 | 60 |
| 26.7 | 38 |
| 40.5 | 16 |
| 41.5 | 13 |
| 43.1 | 14 |

***

Calculated PXRD pattern
Compound: Li9Mn2Co5O16
Radiation: Cu Kα
Structure: the GGA+U geometry in the Materials Project
Neutral-atom scattering factors, no anomalous dispersion.

Cell and atoms:
```
data_Li9Mn2Co5O16
_chemical_formula_sum 'Li9 Mn2 Co5 O16'
_symmetry_space_group_name_H-M 'P -1'
_symmetry_Int_Tables_number 2
_symmetry_space_group_name_Hall '-P 1'
_cell_length_a 5.882
_cell_length_b 6.443
_cell_length_c 8.094
_cell_angle_alpha 88.84
_cell_angle_beta 89.27
_cell_angle_gamma 65.65
loop_
_atom_site_label
_atom_site_fract_x
_atom_site_fract_y
_atom_site_fract_z
Li1 0.000 0.000 0.000
Li2 0.000 0.000 0.500
Li3 0.127 0.246 0.243
Li4 0.251 0.499 0.000
Li5 0.375 0.754 0.756
Li6 0.500 0.000 0.500
Mn1 0.365 0.756 0.246
Co1 0.130 0.246 0.753
Co2 0.252 0.499 0.500
Co3 0.500 0.000 0.000
O1 0.022 0.970 0.251
O2 0.132 0.265 0.513
O3 0.153 0.231 0.983
O4 0.259 0.508 0.260
O5 0.272 0.473 0.739
O6 0.366 0.739 0.490
O7 0.382 0.758 0.013
O8 0.482 0.995 0.240
```

Largest 6 diffraction maxima, in order of rising 2θ, 10 to 80 degrees two-theta:
| Position (°2θ) | I (rel.) |
| --- | --- |
| 18.5 | 100 |
| 35.2 | 16 |
| 36.9 | 24 |
| 42.5 | 30 |
| 44.8 | 51 |
| 63.4 | 22 |